The following is a calculated XRD peak list of GdCrGeO5. It was derived from a structure optimized by DFT (GGA+U), using λ = 1.5418 Å (Cu Kα).

The 12 most intense peaks (2θ = 10–90°), sorted by position:
(0 0 1), 15.3°, d = 5.800 Å, rel. 183
(0 2 1), 25.9°, d = 3.440 Å, rel. 169
(1 2 1), 28.5°, d = 3.128 Å, rel. 718
(2 1 1), 30.2°, d = 2.957 Å, rel. 1000
(1 3 0), 33.6°, d = 2.664 Å, rel. 310
(1 1 2), 34.8°, d = 2.579 Å, rel. 219
(0 2 2), 37.5°, d = 2.401 Å, rel. 188
(2 1 2), 40.7°, d = 2.217 Å, rel. 186
(1 4 1), 46.9°, d = 1.937 Å, rel. 173
(0 4 2), 53.3°, d = 1.720 Å, rel. 201
(2 1 3), 54.4°, d = 1.685 Å, rel. 187
(4 0 2), 58.5°, d = 1.577 Å, rel. 370

Cell and atoms:
a b c (Å): 7.5100 8.5466 5.8000
angles (deg): 90.00 90.00 90.00
Space group Pbam (No. 55)
Inequivalent atoms, fractional coordinates:
1 Gd 0.1445 0.1745 0.0000 (multiplicity 4)
2 Cr 0.0000 0.5000 0.2524 (multiplicity 4)
3 Ge 0.1152 0.8568 0.5000 (multiplicity 4)
4 O 0.0000 0.0000 0.2888 (multiplicity 4)
5 O 0.1057 0.7176 0.2531 (multiplicity 8)
6 O 0.1620 0.4252 0.5000 (multiplicity 4)
7 O 0.1676 0.4456 0.0000 (multiplicity 4)